Entry 1:
# TlIn2Au2
Theoretical PXRD pattern, Cu Ka. Input: DFT lattice parameters and positions (PBE).
Peak positions follow from Bragg's law for the DFT cell and can differ from measured ones.

Cell and atoms:
a b c (Å): 6.3994 6.7832 7.3594
angles (deg): 65.24 66.24 65.99
Space group P-1 (No. 2)
Asymmetric unit:
Tl: 0.0921 0.3976 0.2474 (multiplicity 2)
In: 0.2028 0.9580 0.6454 (multiplicity 2)
In: 0.4478 0.7002 0.1470 (multiplicity 2)
Au: 0.1602 0.1238 0.9680 (multiplicity 2)
Au: 0.3808 0.3394 0.5252 (multiplicity 2)

Top 6 peaks for 2θ from 5° to 70°, low angle first:
- 2θ = 28.44°, intensity 40, hkl -1 1 1
- 2θ = 33.92°, intensity 100, hkl 2 2 2
- 2θ = 38.63°, intensity 50, hkl 1 2 -1
- 2θ = 39.56°, intensity 40, hkl 2 1 -1
- 2θ = 40.26°, intensity 72, hkl 0 1 3
- 2θ = 40.73°, intensity 43, hkl 1 0 3

---

Entry 2:
# Tl2SnHPd6
Theoretical PXRD pattern, Cu Ka. Input: DFT lattice parameters and positions (PBE).
Peak positions follow from Bragg's law for the DFT cell and can differ from measured ones.

Cell and atoms:
a b c (Å): 9.8572 5.6912 7.3261
angles (deg): 90.00 116.56 90.00
Space group C2/m (No. 12)
Asymmetric unit:
Tl: 0.2429 0.0000 0.2301 (multiplicity 4)
Sn: 0.0000 0.0000 0.5000 (multiplicity 2)
H: 0.0000 0.5000 0.0000 (multiplicity 2)
Pd: 0.0238 0.2502 0.8197 (multiplicity 8)
Pd: 0.2266 0.5000 0.1816 (multiplicity 4)

Top 6 peaks for 2θ from 5° to 70°, low angle first:
- 2θ = 25.60°, intensity 32, hkl 2 0 -2
- 2θ = 27.22°, intensity 39, hkl 0 0 2
- 2θ = 37.63°, intensity 86, hkl 4 0 -2
- 2θ = 40.97°, intensity 100, hkl 2 2 -2
- 2θ = 43.33°, intensity 29, hkl 2 2 1
- 2θ = 65.62°, intensity 29, hkl 0 4 0